[1]
Starting from a cell relaxed with GGA-PBE, the PXRD pattern of Dy4Y8Mg was computed for Cu Ka.
Peak positions follow from Bragg's law for the DFT cell and can differ from measured ones.

Crystal structure
```
data_Dy4Y8Mg
_space_group_name_H-M_alt 'R -3 m'
_space_group_IT_number 166
_space_group_name_Hall '-R 3 2"'
_cell_length_a 7.1795
_cell_length_b 7.1795
_cell_length_c 28.4408
_cell_angle_alpha 90.00
_cell_angle_beta 90.00
_cell_angle_gamma 120.00
loop_
_atom_site_label
_atom_site_type_symbol
_atom_site_fract_x
_atom_site_fract_y
_atom_site_fract_z
Dy1 Dy 0.0000 0.0000 0.0000
Dy2 Dy 0.0000 0.5000 0.0000
Y1 Y 0.0000 0.0000 0.2128
Y2 Y 0.0189 0.5095 0.7640
Mg1 Mg 0.0000 0.0000 0.5000
```

Peak list (12 most intense, 10 to 90 degrees two-theta, low angle first)
hkl	d [Å]	intensity
0 0 9	3.160	36
0 2 1	3.090	39
0 2 4	2.848	100
2 0 5	2.728	55
2 0 8	2.340	37
2 2 0	1.795	29
0 2 13	1.789	20
2 2 9	1.561	27
4 0 4	1.519	14
0 4 5	1.499	9
2 0 17	1.473	10
2 4 4	1.159	11

[2]
Starting from a cell relaxed with GGA-PBE, the PXRD pattern of Dy2Y6Mg was computed for Cu Ka.
Peak positions follow from Bragg's law for the DFT cell and can differ from measured ones.

Crystal structure
```
data_Dy2Y6Mg
_space_group_name_H-M_alt 'P 42/m n m'
_space_group_IT_number 136
_space_group_name_Hall '-P 4n 2n'
_cell_length_a 10.5459
_cell_length_b 10.5459
_cell_length_c 5.0586
_cell_angle_alpha 90.00
_cell_angle_beta 90.00
_cell_angle_gamma 90.00
loop_
_atom_site_label
_atom_site_type_symbol
_atom_site_fract_x
_atom_site_fract_y
_atom_site_fract_z
Dy1 Dy 0.1689 0.1689 0.0000
Y1 Y 0.0020 0.3323 0.5000
Y2 Y 0.1635 0.8365 0.0000
Mg1 Mg 0.0000 0.0000 0.5000
```

Peak list (12 most intense, 10 to 90 degrees two-theta, low angle first)
hkl	d [Å]	intensity
1 0 1	4.561	7
3 0 1	2.887	100
0 0 2	2.530	21
3 3 0	2.486	33
3 3 2	1.773	23
6 0 0	1.758	11
3 0 3	1.520	14
6 3 1	1.501	27
6 0 2	1.443	12
6 3 3	1.150	11
9 0 1	1.142	5
6 6 2	1.115	6

[3]
Starting from a cell relaxed with GGA-PBE, the PXRD pattern of Dy3YMg4 was computed for Cu Ka.
Peak positions follow from Bragg's law for the DFT cell and can differ from measured ones.

Crystal structure
```
data_Dy3YMg4
_space_group_name_H-M_alt 'P 4/m m m'
_space_group_IT_number 123
_space_group_name_Hall '-P 4 2'
_cell_length_a 3.7909
_cell_length_b 3.7909
_cell_length_c 15.1677
_cell_angle_alpha 90.00
_cell_angle_beta 90.00
_cell_angle_gamma 90.00
loop_
_atom_site_label
_atom_site_type_symbol
_atom_site_fract_x
_atom_site_fract_y
_atom_site_fract_z
Dy1 Dy 0.0000 0.0000 0.0000
Dy2 Dy 0.0000 0.0000 0.2492
Y1 Y 0.0000 0.0000 0.5000
Mg1 Mg 0.5000 0.5000 0.1248
Mg2 Mg 0.5000 0.5000 0.3744
```

Peak list (12 most intense, 10 to 90 degrees two-theta, low angle first)
hkl	d [Å]	intensity
0 0 2	7.584	2
1 0 0	3.791	59
1 1 0	2.681	100
1 1 4	2.189	18
2 0 0	1.896	18
2 1 0	1.696	25
2 1 4	1.548	37
2 2 0	1.340	11
3 0 0	1.264	12
3 1 0	1.199	16
3 1 4	1.143	7
2 2 8	1.094	4

[4]
Starting from a cell relaxed with GGA-PBE, the PXRD pattern of Dy4Y5Mg was computed for Cu Ka.
Peak positions follow from Bragg's law for the DFT cell and can differ from measured ones.

Crystal structure
```
data_Dy4Y5Mg
_space_group_name_H-M_alt 'P 4/m m m'
_space_group_IT_number 123
_space_group_name_Hall '-P 4 2'
_cell_length_a 3.5690
_cell_length_b 3.5690
_cell_length_c 24.4108
_cell_angle_alpha 90.00
_cell_angle_beta 90.00
_cell_angle_gamma 90.00
loop_
_atom_site_label
_atom_site_type_symbol
_atom_site_fract_x
_atom_site_fract_y
_atom_site_fract_z
Dy1 Dy 0.0000 0.0000 0.1028
Dy2 Dy 0.0000 0.0000 0.3089
Y1 Y 0.5000 0.5000 0.0000
Y2 Y 0.5000 0.5000 0.2058
Y3 Y 0.5000 0.5000 0.4101
Mg1 Mg 0.0000 0.0000 0.5000
```

Peak list (12 most intense, 10 to 90 degrees two-theta, low angle first)
hkl	d [Å]	intensity
1 0 4	3.081	7
1 0 5	2.881	100
1 1 0	2.524	36
0 0 10	2.441	14
2 0 0	1.784	13
1 1 10	1.755	20
1 0 14	1.567	6
2 1 5	1.517	28
1 0 15	1.481	9
2 0 10	1.441	10
3 0 5	1.156	6
2 1 15	1.140	8

[5]
Starting from a cell relaxed with GGA-PBE, the PXRD pattern of DyYMgZn was computed for Cu Ka.
Peak positions follow from Bragg's law for the DFT cell and can differ from measured ones.

Crystal structure
```
data_DyYMgZn
_space_group_name_H-M_alt 'P 4 m m'
_space_group_IT_number 99
_cell_length_a 3.5925
_cell_length_b 3.5925
_cell_length_c 7.8015
_cell_angle_alpha 90.00
_cell_angle_beta 90.00
_cell_angle_gamma 90.00
loop_
_space_group_symop_operation_xyz
'x,y,z'
'-y,x,z'
'-x,-y,z'
'y,-x,z'
'-x,y,z'
'y,x,z'
'x,-y,z'
'-y,-x,z'
loop_
_atom_site_label
_atom_site_type_symbol
_atom_site_fract_x
_atom_site_fract_y
_atom_site_fract_z
Dy1 Dy 0.0000 0.0000 0.0000
Y1 Y 0.0000 0.0000 0.4465
Mg1 Mg 0.5000 0.5000 0.7237
Zn1 Zn 0.5000 0.5000 0.2216
```

Peak list (12 most intense, 10 to 90 degrees two-theta, low angle first)
hkl	d [Å]	intensity
0 0 1	7.801	35
0 0 2	3.901	12
1 0 0	3.592	24
1 0 2	2.643	100
1 1 0	2.540	48
1 1 1	2.415	9
1 1 2	2.129	10
1 0 3	2.107	15
2 0 0	1.796	17
1 1 4	1.547	15
2 1 2	1.486	33
2 0 4	1.321	9

[6]
Starting from a cell relaxed with GGA-PBE, the PXRD pattern of Dy2MgZn6 was computed for Cu Ka.
Peak positions follow from Bragg's law for the DFT cell and can differ from measured ones.

Crystal structure
```
data_Dy2MgZn6
_space_group_name_H-M_alt 'P -3 m 1'
_space_group_IT_number 164
_space_group_name_Hall '-P 3 2"'
_cell_length_a 5.7592
_cell_length_b 5.7592
_cell_length_c 5.9640
_cell_angle_alpha 90.00
_cell_angle_beta 90.00
_cell_angle_gamma 120.00
loop_
_atom_site_label
_atom_site_type_symbol
_atom_site_fract_x
_atom_site_fract_y
_atom_site_fract_z
Dy1 Dy 0.3333 0.6667 0.1445
Mg1 Mg 0.0000 0.0000 0.0000
Zn1 Zn 0.1793 0.3586 0.6568
```

Peak list (12 most intense, 10 to 90 degrees two-theta, low angle first)
hkl	d [Å]	intensity
1 0 1	3.826	24
1 1 0	2.880	15
1 1 1	2.593	46
0 1 2	2.559	83
2 0 0	2.494	27
2 0 1	2.301	100
2 1 1	1.797	17
1 1 3	1.636	20
1 2 2	1.593	27
2 2 0	1.440	22
1 2 3	1.368	15
3 1 2	1.255	15